# 1
The following is a computed powder diffractogram of Cs5HgI4. It was derived from a cell relaxed with GGA-PBE, using Cu Kα.
No peak broadening, texture or thermal motion is included.

Structural model:
```
data_Cs5HgI4
_chemical_formula_sum 'Cs10 Hg2 I8'
_cell_length_a 5.557
_cell_length_b 5.557
_cell_length_c 39.344
_cell_angle_alpha 90.00
_cell_angle_beta 90.00
_cell_angle_gamma 90.00
_symmetry_space_group_name_H-M 'I 4/m m m'
_symmetry_Int_Tables_number 139
_symmetry_space_group_name_Hall '-I 4 2'
loop_
_atom_site_label
_atom_site_type_symbol
_atom_site_fract_x
_atom_site_fract_y
_atom_site_fract_z
Cs1 Cs 0.000 0.000 0.000
Cs2 Cs 0.000 0.000 0.200
Cs3 Cs 0.000 0.000 0.399
Hg1 Hg 0.000 0.000 0.500
I1 I 0.000 0.000 0.101
I2 I 0.000 0.000 0.300
```

Main lines, low angle first (5 to 70 degrees two-theta):
- (0 0 4), 8.99°, I 1
- (1 0 1), 16.11°, I 1
- (1 0 3), 17.33°, I 1
- (1 1 0), 22.62°, I 100
- (2 0 0), 32.20°, I 81
- (2 0 10), 39.71°, I 31
- (2 2 0), 46.18°, I 15
- (3 1 0), 52.02°, I 41
- (3 1 10), 57.42°, I 31
- (4 0 0), 67.37°, I 10


# 2
The following is a computed powder diffractogram of Tb6Y8Zr. It was derived from a cell relaxed with GGA-PBE, using Cu Kα.
No peak broadening, texture or thermal motion is included.

Structural model:
```
data_Tb6Y8Zr
_chemical_formula_sum 'Tb6 Y8 Zr1'
_cell_length_a 9.8355
_cell_length_b 9.8355
_cell_length_c 5.7836
_cell_angle_alpha 90.00
_cell_angle_beta 90.00
_cell_angle_gamma 120.00
_symmetry_space_group_name_H-M 'P -3'
_symmetry_Int_Tables_number 147
_symmetry_space_group_name_Hall '-P 3'
loop_
_atom_site_label
_atom_site_type_symbol
_atom_site_fract_x
_atom_site_fract_y
_atom_site_fract_z
Tb1 Tb 0.0929 0.4720 0.2562
Y1 Y 0.0506 0.2683 0.7669
Y2 Y 0.3333 0.6667 0.7652
Zr1 Zr 0.0000 0.0000 0.5000
```

Main lines, low angle first (5 to 70 degrees two-theta):
- (1 0 1), 18.54°, I 4
- (2 0 0), 20.86°, I 4
- (2 1 0), 27.71°, I 24
- (0 0 2), 30.92°, I 22
- (3 -2 1), 31.81°, I 100
- (1 0 2), 32.70°, I 4
- (2 1 2), 42.00°, I 20
- (1 4 0), 49.01°, I 20
- (2 1 3), 55.56°, I 19
- (5 -1 2), 59.08°, I 18
- (4 2 1), 59.62°, I 14
- (6 -4 2), 66.48°, I 5


# 3
The following is a computed powder diffractogram of Tb4Si2Cl3. It was derived from a cell relaxed with GGA-PBE, using Cu Kα.
No peak broadening, texture or thermal motion is included.

Structural model:
```
data_Tb4Si2Cl3
_chemical_formula_sum 'Tb8 Si4 Cl6'
_cell_length_a 7.090
_cell_length_b 4.093
_cell_length_c 16.838
_cell_angle_alpha 90.00
_cell_angle_beta 90.19
_cell_angle_gamma 90.00
_symmetry_space_group_name_H-M 'C 1 2/m 1'
_symmetry_Int_Tables_number 12
_symmetry_space_group_name_Hall '-C 2y'
loop_
_atom_site_label
_atom_site_type_symbol
_atom_site_fract_x
_atom_site_fract_y
_atom_site_fract_z
Tb1 Tb 0.002 0.000 0.297
Tb2 Tb 0.166 0.500 0.888
Si1 Si 0.168 0.500 0.201
Cl1 Cl 0.000 0.000 0.000
Cl2 Cl 0.164 0.500 0.609
```

Main lines, low angle first (5 to 70 degrees two-theta):
- (0 0 1), 5.25°, I 70
- (0 0 2), 10.51°, I 33
- (1 1 1), 25.68°, I 32
- (0 0 5), 26.47°, I 18
- (2 0 -2), 27.30°, I 45
- (2 0 3), 29.81°, I 100
- (1 1 -4), 33.02°, I 29
- (3 1 0), 44.26°, I 44
- (2 0 -7), 45.52°, I 12
- (1 1 7), 45.62°, I 22
- (3 1 -5), 52.28°, I 12
- (2 2 3), 54.28°, I 18